Diffraction record for V2Ni5Ir2. The X-ray powder pattern is calculated, not measured: it uses the GGA-PBE geometry in Alexandria and Cu Kα (λ = 1.5418 Å).
Kinematic intensities with the Lorentz-polarization factor, no thermal factor.

Principal peaks in the range 2θ = 10–90°, in order of falling intensity:
| 2θ/deg | d/Å | I (rel.) |
| --- | --- | --- |
| 42.75 | 2.115 | 100 |
| 42.93 | 2.107 | 33 |
| 49.49 | 1.842 | 25 |
| 49.72 | 1.834 | 21 |
| 50.27 | 1.815 | 20 |
| 22.95 | 3.875 | 19 |
| 26.95 | 3.308 | 12 |
| 73.18 | 1.293 | 12 |
| 26.84 | 3.322 | 12 |
| 24.70 | 3.605 | 8 |

Cell and atoms:
```
V2Ni5Ir2
1.0
4.4849 0.0000 0.0000
0.7043 4.4317 0.0000
0.6876 1.3513 5.5503
V Ni Ir
2 5 2
Cartesian
0.7617 0.6268 1.4418
5.1151 5.1562 4.1085
0.6959 2.8915 2.7751
1.4805 2.7533 0.3145
2.8649 4.0103 3.3844
3.0119 1.7727 2.1659
4.3963 3.0297 5.2357
2.1212 1.8697 4.5656
3.7556 3.9132 0.9846
```


Diffraction record for V4Ni4Ir. The X-ray powder pattern is calculated, not measured: it uses the GGA-PBE geometry in Alexandria and Cu Kα (λ = 1.5418 Å).
Kinematic intensities with the Lorentz-polarization factor, no thermal factor.

Principal peaks in the range 2θ = 10–90°, in order of falling intensity:
| 2θ/deg | d/Å | I (rel.) |
| --- | --- | --- |
| 40.10 | 2.249 | 100 |
| 47.13 | 1.928 | 45 |
| 50.46 | 1.808 | 22 |
| 20.64 | 4.303 | 19 |
| 35.73 | 2.513 | 19 |
| 31.98 | 2.798 | 17 |
| 40.48 | 2.228 | 17 |
| 19.92 | 4.456 | 16 |
| 24.16 | 3.683 | 16 |
| 41.99 | 2.152 | 15 |

Cell and atoms:
```
V4Ni4Ir
1.0
5.2092 0.0000 0.0000
0.0000 5.2092 0.0000
0.0000 0.0000 8.6068
V Ni Ir
8 8 2
Cartesian
0.0174 3.9069 0.1551
1.3023 2.6220 4.1484
1.3023 5.1917 4.1484
2.5871 3.9069 0.1551
2.6220 1.3023 8.4518
3.9069 0.0174 4.4585
3.9069 2.5871 4.4585
5.1917 1.3023 8.4518
0.1735 1.3023 5.9435
1.3023 0.1735 1.6400
1.3023 2.4310 1.6400
2.4310 1.3023 5.9435
2.7781 3.9069 2.6634
3.9069 2.7781 6.9668
3.9069 5.0356 6.9668
5.0356 3.9069 2.6634
1.3023 3.9069 6.4551
3.9069 1.3023 2.1517
```


Diffraction record for Ni4Ir2W. The X-ray powder pattern is calculated, not measured: it uses the GGA-PBE geometry in Alexandria and Cu Kα (λ = 1.5418 Å).
Kinematic intensities with the Lorentz-polarization factor, no thermal factor.

Principal peaks in the range 2θ = 10–90°, in order of falling intensity:
| 2θ/deg | d/Å | I (rel.) |
| --- | --- | --- |
| 38.27 | 2.352 | 100 |
| 48.44 | 1.879 | 69 |
| 40.84 | 2.210 | 48 |
| 42.85 | 2.110 | 43 |
| 20.09 | 4.420 | 41 |
| 37.44 | 2.402 | 30 |
| 68.10 | 1.377 | 19 |
| 75.44 | 1.260 | 18 |
| 48.14 | 1.890 | 18 |
| 56.59 | 1.626 | 17 |

Cell and atoms:
```
Ni4Ir2W
1.0
4.2485 -2.4020 0.0000
4.2485 2.4020 0.0000
0.0000 0.0000 8.8391
Ni Ir W
8 4 2
Cartesian
2.1243 1.1445 6.6293
4.2485 2.2860 6.8676
4.2485 0.1159 2.4480
2.1243 -1.1445 2.2098
6.3728 1.1445 6.6293
4.2485 -0.1159 6.3910
4.2485 -2.2860 1.9715
6.3728 -1.1445 2.2098
1.5372 0.0000 0.0000
2.7113 0.0000 4.4195
5.7857 0.0000 4.4195
6.9598 0.0000 0.0000
0.0000 0.0000 4.4195
4.2485 0.0000 0.0000
```


Diffraction record for NiIr6W2. The X-ray powder pattern is calculated, not measured: it uses the GGA-PBE geometry in Alexandria and Cu Kα (λ = 1.5418 Å).
Kinematic intensities with the Lorentz-polarization factor, no thermal factor.

Principal peaks in the range 2θ = 10–90°, in order of falling intensity:
| 2θ/deg | d/Å | I (rel.) |
| --- | --- | --- |
| 40.35 | 2.235 | 100 |
| 47.09 | 1.930 | 32 |
| 82.89 | 1.165 | 25 |
| 68.45 | 1.371 | 21 |
| 46.64 | 1.947 | 17 |
| 82.24 | 1.172 | 13 |
| 87.24 | 1.118 | 11 |
| 68.80 | 1.365 | 10 |
| 15.30 | 5.790 | 3 |
| 33.59 | 2.668 | 2 |

Cell and atoms:
```
NiIr6W2
1.0
8.1877 0.0000 0.0000
0.0000 8.1877 0.0000
0.0000 0.0000 3.8945
Ni Ir W
2 12 4
Cartesian
0.0000 0.0000 0.0000
4.0939 4.0939 1.9472
0.0062 2.7085 0.0000
1.3406 1.3406 1.9472
1.3854 4.1000 1.9472
2.7085 0.0062 0.0000
2.7533 5.4344 0.0000
4.0877 6.8024 1.9472
4.1000 1.3854 1.9472
5.4344 2.7533 0.0000
5.4792 8.1815 0.0000
6.8024 4.0877 1.9472
6.8471 6.8471 1.9472
8.1815 5.4792 0.0000
1.3973 6.7904 1.9472
2.6965 2.6965 0.0000
5.4912 5.4912 0.0000
6.7904 1.3973 1.9472
```